# TiVH4
Computed powder XRD pattern, λ = 1.5418 Å (Cu Kα). Input: a structure optimized by DFT (GGA-PBE).
Lines closer than 0.1° are merged.

Top 5 peaks for 2θ = 15–90°, low angle first:
two_theta	I/Imax
36.0	100
41.8	43
60.6	30
72.5	32
76.3	9

Cell and atoms:
abc: 3.0563 3.0563 14.9696
angles: 90.00 90.00 120.00
Space group R-3m (No. 166, hexagonal axes)
Unique sites:
Ti 0.0000 0.0000 0.0000
V 0.0000 0.0000 0.5000
H 0.0000 0.0000 0.1284
H 0.0000 0.0000 0.3785